[1]
This entry pairs a crystal structure of GdDy2Mg3Al2Cd with its computed powder diffractogram. Radiation: λ = 1.5418 Å (Cu Kα). Structure: the PBE geometry in OQMD.
No peak broadening, texture or thermal motion is included.

Structure:
Lattice parameters (Å, degrees): 4.552 7.428 7.428 120.06 90.00 90.00
Atoms (fractional coordinates):
Gd 0.000 0.000 0.000
Dy 0.000 0.143 0.572
Dy 0.000 0.572 0.143
Mg 0.500 0.326 0.326
Mg 0.500 0.572 0.818
Mg 0.500 0.818 0.572
Al 0.500 0.239 0.905
Al 0.500 0.905 0.239
Cd 0.000 0.571 0.571

Peak list (6 most intense, 2θ = 10–90°, in order of falling intensity)
34.14°, I = 100; 27.74°, I = 54; 31.08°, I = 51; 19.50°, I = 51; 55.31°, I = 41; 66.61°, I = 33

[2]
This entry pairs a crystal structure of GdDy2Al2Zn3Cd with its computed powder diffractogram. Radiation: λ = 1.5418 Å (Cu Kα). Structure: the PBE geometry in OQMD.
No peak broadening, texture or thermal motion is included.

Structure:
Lattice parameters (Å, degrees): 4.471 7.047 7.047 120.20 90.00 90.00
Atoms (fractional coordinates):
Gd 0.000 0.000 0.000
Dy 0.000 0.139 0.570
Dy 0.000 0.570 0.139
Al 0.500 0.237 0.903
Al 0.500 0.903 0.237
Zn 0.500 0.321 0.321
Zn 0.500 0.569 0.819
Zn 0.500 0.819 0.569
Cd 0.000 0.568 0.568

Peak list (6 most intense, 2θ = 10–90°, in order of falling intensity)
35.65°, I = 100; 32.37°, I = 63; 29.30°, I = 36; 40.34°, I = 26; 19.86°, I = 22; 39.05°, I = 21

[3]
This entry pairs a crystal structure of Dy2HoAl2Cd4 with its computed powder diffractogram. Radiation: λ = 1.5418 Å (Cu Kα). Structure: the PBE geometry in OQMD.
No peak broadening, texture or thermal motion is included.

Structure:
Lattice parameters (Å, degrees): 4.550 7.288 7.288 119.94 90.00 90.00
Atoms (fractional coordinates):
Dy 0.000 0.215 0.785
Dy 0.000 0.785 0.215
Ho 0.000 0.356 0.356
Al 0.500 0.119 0.452
Al 0.500 0.452 0.119
Cd 0.000 0.785 0.785
Cd 0.500 0.037 0.037
Cd 0.500 0.534 0.785
Cd 0.500 0.785 0.534

Peak list (6 most intense, 2θ = 10–90°, in order of falling intensity)
34.58°, I = 100; 31.45°, I = 82; 37.70°, I = 42; 39.61°, I = 29; 55.83°, I = 26; 28.27°, I = 25

[4]
This entry pairs a crystal structure of TbEr2AlCd3Ga2 with its computed powder diffractogram. Radiation: λ = 1.5418 Å (Cu Kα). Structure: the PBE geometry in OQMD.
No peak broadening, texture or thermal motion is included.

Structure:
Lattice parameters (Å, degrees): 4.412 7.243 7.243 120.18 90.00 90.00
Atoms (fractional coordinates):
Tb 0.000 0.000 0.000
Er 0.000 0.433 0.866
Er 0.000 0.866 0.433
Al 0.000 0.435 0.435
Cd 0.500 0.186 0.433
Cd 0.500 0.433 0.186
Cd 0.500 0.679 0.679
Ga 0.500 0.100 0.765
Ga 0.500 0.765 0.100

Peak list (6 most intense, 2θ = 10–90°, in order of falling intensity)
35.13°, I = 100; 31.99°, I = 97; 57.05°, I = 45; 37.95°, I = 40; 40.91°, I = 31; 38.06°, I = 19

[5]
This entry pairs a crystal structure of Ho2ErAl2Cd3In with its computed powder diffractogram. Radiation: λ = 1.5418 Å (Cu Kα). Structure: the PBE geometry in OQMD.
No peak broadening, texture or thermal motion is included.

Structure:
Lattice parameters (Å, degrees): 4.542 7.289 7.289 119.95 90.00 90.00
Atoms (fractional coordinates):
Ho 0.000 0.219 0.781
Ho 0.000 0.781 0.219
Er 0.000 0.656 0.656
Al 0.500 0.552 0.885
Al 0.500 0.885 0.552
Cd 0.500 0.219 0.474
Cd 0.500 0.474 0.219
Cd 0.500 0.963 0.963
In 0.000 0.219 0.219

Peak list (6 most intense, 2θ = 10–90°, in order of falling intensity)
34.60°, I = 100; 31.47°, I = 70; 37.69°, I = 36; 39.69°, I = 27; 28.27°, I = 27; 55.89°, I = 23

[6]
This entry pairs a crystal structure of HoEr2Al2Zn3Cd with its computed powder diffractogram. Radiation: λ = 1.5418 Å (Cu Kα). Structure: the PBE geometry in OQMD.
No peak broadening, texture or thermal motion is included.

Structure:
Lattice parameters (Å, degrees): 4.458 6.966 6.966 120.11 90.00 90.00
Atoms (fractional coordinates):
Ho 0.000 0.000 0.000
Er 0.000 0.433 0.867
Er 0.000 0.867 0.433
Al 0.500 0.100 0.766
Al 0.500 0.766 0.100
Zn 0.500 0.185 0.433
Zn 0.500 0.433 0.185
Zn 0.500 0.682 0.682
Cd 0.000 0.435 0.435

Peak list (6 most intense, 2θ = 10–90°, in order of falling intensity)
35.96°, I = 100; 32.64°, I = 58; 29.63°, I = 37; 39.55°, I = 29; 40.47°, I = 26; 19.92°, I = 23

[7]
This entry pairs a crystal structure of Er3Mg2Al2CdIn with its computed powder diffractogram. Radiation: λ = 1.5418 Å (Cu Kα). Structure: the PBE geometry in OQMD.
No peak broadening, texture or thermal motion is included.

Structure:
Lattice parameters (Å, degrees): 4.578 7.320 7.320 120.56 90.00 90.00
Atoms (fractional coordinates):
Er 0.000 0.000 0.000
Er 0.000 0.119 0.559
Er 0.000 0.559 0.119
Mg 0.500 0.554 0.801
Mg 0.500 0.801 0.554
Al 0.500 0.226 0.892
Al 0.500 0.892 0.226
Cd 0.500 0.306 0.306
In 0.000 0.560 0.560

Peak list (6 most intense, 2θ = 10–90°, in order of falling intensity)
34.55°, I = 100; 31.29°, I = 43; 19.39°, I = 35; 28.07°, I = 30; 28.32°, I = 28; 34.35°, I = 27

[8]
This entry pairs a crystal structure of AlCdFeSe4 with its computed powder diffractogram. Radiation: λ = 1.5418 Å (Cu Kα). Structure: the PBE geometry in OQMD.
No peak broadening, texture or thermal motion is included.

Structure:
Lattice parameters (Å, degrees): 7.696 7.696 10.821 90.00 90.00 90.00
Atoms (fractional coordinates):
Al 0.000 0.252 0.000
Al 0.000 0.748 0.500
Al 0.252 0.000 0.750
Al 0.748 0.000 0.250
Cd 0.254 0.500 0.750
Cd 0.500 0.254 0.000
Cd 0.500 0.746 0.500
Cd 0.746 0.500 0.250
Fe 0.242 0.242 0.375
Fe 0.242 0.758 0.125
Fe 0.758 0.242 0.625
Fe 0.758 0.758 0.875
Se 0.009 0.233 0.762
Se 0.009 0.767 0.738
Se 0.232 0.493 0.009
Se 0.232 0.507 0.491
Se 0.233 0.009 0.988
Se 0.233 0.991 0.512
Se 0.493 0.232 0.741
Se 0.493 0.768 0.759
Se 0.507 0.232 0.259
Se 0.507 0.768 0.241
Se 0.767 0.009 0.012
Se 0.767 0.991 0.488
Se 0.768 0.493 0.991
Se 0.768 0.507 0.509
Se 0.991 0.233 0.238
Se 0.991 0.767 0.262

Peak list (6 most intense, 2θ = 10–90°, in order of falling intensity)
47.39°, I = 100; 32.92°, I = 88; 47.24°, I = 51; 28.46°, I = 48; 27.19°, I = 43; 33.11°, I = 43